# 1
The following is a theoretical powder diffractogram of TmB3C. It was derived from a cell relaxed with GGA-PBE, using Cu Kα.
Intensities are scaled so that the largest is 100.

Most intense lines, 15° ≤ 2θ ≤ 90°, sorted by position:
| 2θ (°) | d_spacing | I (rel.) |
| --- | --- | --- |
| 23.31 | 3.816 | 30.1 |
| 24.51 | 3.631 | 22.6 |
| 24.95 | 3.569 | 100.0 |
| 28.72 | 3.109 | 70.5 |
| 29.72 | 3.006 | 62.4 |
| 33.43 | 2.680 | 43.0 |
| 34.62 | 2.591 | 31.1 |
| 37.11 | 2.422 | 28.0 |
| 37.61 | 2.391 | 27.6 |
| 50.80 | 1.797 | 45.9 |

Atomic structure:
Unit cell a=4.048 b=5.360 c=5.073 alpha=90.00 beta=109.49 gamma=90.00
Sites, in units of the cell vectors:
Tm: 0.144 0.250 0.292
Tm: 0.856 0.750 0.708
B: 0.279 0.750 0.257
B: 0.436 0.084 0.849
B: 0.436 0.416 0.849
B: 0.564 0.584 0.151
B: 0.564 0.916 0.151
B: 0.721 0.250 0.743
C: 0.092 0.250 0.763
C: 0.908 0.750 0.237



# 2
The following is a theoretical powder diffractogram of KTa2Fe. It was derived from a cell relaxed with GGA-PBE, using Cu Kα.
Intensities are scaled so that the largest is 100.

Most intense lines, 15° ≤ 2θ ≤ 90°, sorted by position:
| 2θ (°) | d_spacing | I (rel.) |
| --- | --- | --- |
| 21.77 | 4.082 | 24.5 |
| 25.14 | 3.542 | 28.5 |
| 31.60 | 2.831 | 87.9 |
| 37.05 | 2.427 | 47.0 |
| 37.58 | 2.394 | 100.0 |
| 39.22 | 2.297 | 71.4 |
| 40.31 | 2.237 | 48.5 |
| 44.85 | 2.021 | 36.0 |
| 46.18 | 1.966 | 27.7 |
| 50.38 | 1.811 | 26.5 |

Atomic structure:
Unit cell a=3.018 b=3.931 c=8.164 alpha=90.00 beta=90.00 gamma=90.00
Sites, in units of the cell vectors:
K: 0.000 0.000 0.000
Ta: 0.000 0.000 0.558
Ta: 0.500 0.500 0.376
Fe: 0.500 0.500 0.651



# 3
The following is a theoretical powder diffractogram of Ca4Cu3F12. It was derived from a cell relaxed with GGA-PBE, using Cu Kα.
Intensities are scaled so that the largest is 100.

Most intense lines, 15° ≤ 2θ ≤ 90°, sorted by position:
| 2θ (°) | d_spacing | I (rel.) |
| --- | --- | --- |
| 26.07 | 3.418 | 24.1 |
| 30.20 | 2.960 | 100.0 |
| 33.86 | 2.647 | 21.6 |
| 40.31 | 2.237 | 9.7 |
| 43.23 | 2.093 | 29.3 |
| 46.00 | 1.973 | 10.6 |
| 53.63 | 1.709 | 68.0 |
| 62.79 | 1.480 | 12.5 |
| 71.24 | 1.324 | 19.5 |
| 87.12 | 1.119 | 18.4 |

Atomic structure:
Unit cell a=7.250 b=7.250 c=7.250 alpha=109.47 beta=109.47 gamma=109.47
Sites, in units of the cell vectors:
Ca: 0.000 0.000 0.500
Ca: 0.000 0.500 0.000
Ca: 0.500 0.000 0.000
Ca: 0.500 0.500 0.500
Cu: 0.000 0.500 0.500
Cu: 0.500 0.000 0.500
Cu: 0.500 0.500 0.000
F: 0.154 0.325 0.829
F: 0.171 0.496 0.325
F: 0.171 0.846 0.675
F: 0.325 0.171 0.496
F: 0.325 0.829 0.154
F: 0.496 0.325 0.171
F: 0.504 0.675 0.829
F: 0.675 0.171 0.846
F: 0.675 0.829 0.504
F: 0.829 0.154 0.325
F: 0.829 0.504 0.675
F: 0.846 0.675 0.171



# 4
The following is a theoretical powder diffractogram of Tm2CdHg2. It was derived from a cell relaxed with GGA-PBE, using Cu Kα.
Intensities are scaled so that the largest is 100.

Most intense lines, 15° ≤ 2θ ≤ 90°, sorted by position:
| 2θ (°) | d_spacing | I (rel.) |
| --- | --- | --- |
| 15.70 | 5.643 | 11.1 |
| 32.04 | 2.793 | 10.0 |
| 34.01 | 2.636 | 100.0 |
| 35.57 | 2.524 | 37.0 |
| 45.46 | 1.995 | 7.5 |
| 46.44 | 1.955 | 11.4 |
| 52.77 | 1.735 | 9.6 |
| 59.83 | 1.546 | 13.6 |
| 67.60 | 1.386 | 16.8 |
| 78.04 | 1.224 | 9.4 |

Atomic structure:
Unit cell a=7.981 b=7.981 c=7.821 alpha=90.00 beta=90.00 gamma=90.00
Sites, in units of the cell vectors:
Tm: 0.165 0.333 0.000
Tm: 0.167 0.335 0.500
Tm: 0.333 0.835 0.000
Tm: 0.335 0.833 0.500
Tm: 0.665 0.167 0.500
Tm: 0.667 0.165 0.000
Tm: 0.833 0.665 0.500
Tm: 0.835 0.667 0.000
Cd: 0.000 0.000 0.213
Cd: 0.000 0.000 0.787
Cd: 0.500 0.500 0.287
Cd: 0.500 0.500 0.713
Hg: 0.134 0.634 0.250
Hg: 0.134 0.634 0.750
Hg: 0.366 0.134 0.250
Hg: 0.366 0.134 0.750
Hg: 0.634 0.866 0.250
Hg: 0.634 0.866 0.750
Hg: 0.866 0.366 0.250
Hg: 0.866 0.366 0.750